Entry 1:
The following is a theoretical powder XRD pattern of La8Hg2Os3. It was derived from the GGA-PBE geometry in Alexandria, using Cu Kα (λ = 1.5418 Å).

Peak list (10 most intense, 10° ≤ 2θ ≤ 90°, in order of rising 2θ)
11.4°, intensity 25
20.8°, intensity 29
33.8°, intensity 100
34.1°, intensity 97
35.0°, intensity 50
35.5°, intensity 48
50.8°, intensity 36
59.7°, intensity 22
62.1°, intensity 18
62.2°, intensity 18

Structural model:
Lattice parameters (Å, degrees): 9.225 5.124 9.315 90.00 113.96 90.00
Atoms (fractional coordinates):
La 0.107 0.000 0.392
La 0.147 0.500 0.866
La 0.362 0.500 0.647
La 0.389 0.000 0.112
La 0.611 0.000 0.888
La 0.638 0.500 0.353
La 0.853 0.500 0.134
La 0.893 0.000 0.608
Hg 0.244 0.500 0.259
Hg 0.756 0.500 0.741
Os 0.244 0.000 0.745
Os 0.500 0.500 0.000
Os 0.756 0.000 0.255

Entry 2:
The following is a theoretical powder XRD pattern of CsKSrF4. It was derived from the GGA-PBE geometry in Alexandria, using Cu Kα (λ = 1.5418 Å).

Peak list (10 most intense, 10° ≤ 2θ ≤ 90°, in order of rising 2θ)
12.3°, intensity 32
19.6°, intensity 22
26.4°, intensity 100
26.5°, intensity 76
36.5°, intensity 35
37.8°, intensity 49
46.5°, intensity 24
46.6°, intensity 42
54.3°, intensity 25
61.5°, intensity 23

Structural model:
Lattice parameters (Å, degrees): 4.764 4.764 14.400 90.00 90.00 90.00
Atoms (fractional coordinates):
Cs 0.000 0.000 0.000
Cs 0.500 0.500 0.500
K 0.000 0.000 0.704
K 0.500 0.500 0.204
Sr 0.000 0.000 0.352
Sr 0.500 0.500 0.852
F 0.000 0.000 0.188
F 0.000 0.000 0.521
F 0.000 0.500 0.342
F 0.000 0.500 0.842
F 0.500 0.000 0.342
F 0.500 0.000 0.842
F 0.500 0.500 0.021
F 0.500 0.500 0.688

Entry 3:
The following is a theoretical powder XRD pattern of Pu2P2H2Pd5. It was derived from the GGA-PBE geometry in Alexandria, using Cu Kα (λ = 1.5418 Å).

Peak list (10 most intense, 10° ≤ 2θ ≤ 90°, in order of rising 2θ)
22.7°, intensity 33
30.4°, intensity 100
32.8°, intensity 64
35.8°, intensity 68
36.6°, intensity 24
40.5°, intensity 70
41.5°, intensity 32
45.5°, intensity 65
55.7°, intensity 38
63.2°, intensity 37

Structural model:
Lattice parameters (Å, degrees): 11.251 11.251 11.251 159.57 159.57 29.05
Atoms (fractional coordinates):
Pu 0.203 0.203 0.000
Pu 0.797 0.797 0.000
P 0.334 0.334 0.000
P 0.666 0.666 0.000
H 0.083 0.083 0.000
H 0.917 0.917 0.000
Pd 0.000 0.000 0.000
Pd 0.093 0.593 0.500
Pd 0.407 0.907 0.500
Pd 0.593 0.093 0.500
Pd 0.907 0.407 0.500

Entry 4:
The following is a theoretical powder XRD pattern of Er4Cu2Hg5. It was derived from the GGA-PBE geometry in Alexandria, using Cu Kα (λ = 1.5418 Å).

Peak list (10 most intense, 10° ≤ 2θ ≤ 90°, in order of rising 2θ)
31.6°, intensity 62
33.1°, intensity 88
33.8°, intensity 98
34.4°, intensity 73
36.1°, intensity 100
36.6°, intensity 37
38.0°, intensity 32
38.5°, intensity 45
39.0°, intensity 31
50.1°, intensity 44

Structural model:
Lattice parameters (Å, degrees): 7.480 3.639 9.367 90.00 92.89 90.00
Atoms (fractional coordinates):
Er 0.183 0.000 0.353
Er 0.232 0.000 0.931
Er 0.768 0.000 0.069
Er 0.817 0.000 0.647
Cu 0.064 0.500 0.126
Cu 0.936 0.500 0.874
Hg 0.159 0.500 0.643
Hg 0.440 0.500 0.169
Hg 0.500 0.500 0.500
Hg 0.560 0.500 0.831
Hg 0.841 0.500 0.357

Entry 5:
The following is a theoretical powder XRD pattern of Be2TlCo. It was derived from the GGA-PBE geometry in Alexandria, using Cu Kα (λ = 1.5418 Å).

Peak list (10 most intense, 10° ≤ 2θ ≤ 90°, in order of rising 2θ)
14.9°, intensity 91
30.0°, intensity 20
30.3°, intensity 23
33.9°, intensity 100
43.1°, intensity 59
43.3°, intensity 36
46.1°, intensity 23
64.8°, intensity 20
73.5°, intensity 21
79.4°, intensity 20

Structural model:
Lattice parameters (Å, degrees): 2.952 2.952 5.956 90.00 90.00 90.00
Atoms (fractional coordinates):
Be 0.000 0.000 0.000
Be 0.500 0.500 0.192
Tl 0.500 0.500 0.675
Co 0.000 0.000 0.346

Entry 6:
The following is a theoretical powder XRD pattern of Cs2K2Rb2Ag. It was derived from the GGA-PBE geometry in Alexandria, using Cu Kα (λ = 1.5418 Å).

Peak list (10 most intense, 10° ≤ 2θ ≤ 90°, in order of rising 2θ)
18.2°, intensity 37
18.4°, intensity 22
21.4°, intensity 62
21.5°, intensity 30
21.8°, intensity 29
24.0°, intensity 55
25.4°, intensity 100
35.0°, intensity 40
35.4°, intensity 42
43.7°, intensity 21

Structural model:
Lattice parameters (Å, degrees): 5.000 9.845 11.687 102.95 102.23 90.11
Atoms (fractional coordinates):
Cs 0.170 0.094 0.330
Cs 0.830 0.906 0.670
K 0.498 0.246 0.995
K 0.502 0.754 0.005
Rb 0.151 0.576 0.310
Rb 0.849 0.424 0.690
Ag 0.000 0.000 0.000

Entry 7:
The following is a theoretical powder XRD pattern of ZrTl2Se2Cl2. It was derived from the GGA-PBE geometry in Alexandria, using Cu Kα (λ = 1.5418 Å).

Peak list (10 most intense, 10° ≤ 2θ ≤ 90°, in order of rising 2θ)
11.5°, intensity 29
21.5°, intensity 42
22.8°, intensity 26
25.8°, intensity 49
28.1°, intensity 100
28.3°, intensity 26
34.7°, intensity 44
34.9°, intensity 27
38.5°, intensity 28
45.3°, intensity 47

Structural model:
Lattice parameters (Å, degrees): 16.911 4.030 6.916 90.00 114.08 90.00
Atoms (fractional coordinates):
Zr 0.000 0.000 0.000
Zr 0.500 0.500 0.000
Tl 0.186 0.000 0.686
Tl 0.314 0.500 0.314
Tl 0.686 0.500 0.686
Tl 0.814 0.000 0.314
Se 0.167 0.000 0.165
Se 0.333 0.500 0.835
Se 0.667 0.500 0.165
Se 0.833 0.000 0.835
Cl 0.000 0.500 0.245
Cl 0.000 0.500 0.755
Cl 0.500 0.000 0.245
Cl 0.500 0.000 0.755

Entry 8:
The following is a theoretical powder XRD pattern of TbPr2Sm5. It was derived from the GGA-PBE geometry in Alexandria, using Cu Kα (λ = 1.5418 Å).

Peak list (10 most intense, 10° ≤ 2θ ≤ 90°, in order of rising 2θ)
28.7°, intensity 38
29.5°, intensity 31
30.6°, intensity 31
30.7°, intensity 100
31.1°, intensity 47
42.0°, intensity 13
43.1°, intensity 13
54.4°, intensity 14
55.1°, intensity 16
64.0°, intensity 13

Structural model:
Lattice parameters (Å, degrees): 9.724 9.724 6.659 98.47 98.47 62.66
Atoms (fractional coordinates):
Tb 0.000 0.500 0.000
Tb 0.500 0.000 0.500
Pr 0.163 0.674 0.873
Pr 0.326 0.837 0.627
Pr 0.674 0.163 0.373
Pr 0.837 0.326 0.127
Sm 0.009 0.188 0.651
Sm 0.188 0.009 0.151
Sm 0.212 0.385 0.473
Sm 0.385 0.212 0.973
Sm 0.439 0.561 0.250
Sm 0.561 0.439 0.750
Sm 0.615 0.788 0.027
Sm 0.788 0.615 0.527
Sm 0.812 0.991 0.849
Sm 0.991 0.812 0.349

Question: Number 2 is which compound?
Answer: CsKSrF4

Question: What is the formula in the sixth record?
Answer: Cs2K2Rb2Ag